The following is a simulated PXRD pattern of La4Tm3. It was derived from the GGA-PBE geometry in Alexandria, using Cu Kα X-rays.
Peak positions follow from Bragg's law for the DFT cell and can differ from measured ones.

Peak list (12 most intense, 2θ = 5–70°, in order of falling intensity)
2.978 Å, I 1000
2.958 Å, I 984
2.592 Å, I 686
2.529 Å, I 320
1.556 Å, I 289
1.833 Å, I 246
1.809 Å, I 237
1.565 Å, I 146
1.559 Å, I 146
1.536 Å, I 139
1.528 Å, I 136
1.489 Å, I 124

Structural model:
```
La4Tm3
1.0
5.6619 -2.5885 0.0000
5.6619 2.5885 0.0000
-1.2519 0.0000 8.1126
La Tm
4 3
direct
0.1435 0.1435 0.4226
0.2875 0.2875 0.8587
0.7125 0.7125 0.1413
0.8565 0.8565 0.5774
0.0000 0.0000 0.0000
0.4291 0.4291 0.2875
0.5709 0.5709 0.7125
```

***

The following is a simulated PXRD pattern of CaTb2Cu2Ge2. It was derived from the GGA-PBE geometry in Alexandria, using Cu Kα X-rays.
Peak positions follow from Bragg's law for the DFT cell and can differ from measured ones.

Peak list (12 most intense, 2θ = 5–70°, in order of falling intensity)
2.172 Å, I 1000
2.566 Å, I 995
2.743 Å, I 764
9.355 Å, I 428
3.315 Å, I 395
1.418 Å, I 335
1.658 Å, I 261
4.678 Å, I 251
1.872 Å, I 241
2.113 Å, I 217
3.729 Å, I 204
1.703 Å, I 180

Structural model:
```
CaTb2Cu2Ge2
1.0
2.1720 1.2540 9.3554
-2.1720 1.2540 9.3554
0.0000 -2.5080 9.3554
Ca Tb Cu Ge
1 2 2 2
direct
0.0000 0.0000 0.0000
0.1267 0.1267 0.1267
0.8733 0.8733 0.8733
0.4043 0.4043 0.4043
0.5957 0.5957 0.5957
0.2587 0.2587 0.2587
0.7413 0.7413 0.7413
```

***

The following is a simulated PXRD pattern of AcY7Er4. It was derived from the GGA-PBE geometry in Alexandria, using Cu Kα X-rays.
Peak positions follow from Bragg's law for the DFT cell and can differ from measured ones.

Peak list (12 most intense, 2θ = 5–70°, in order of falling intensity)
3.024 Å, I 1000
2.943 Å, I 657
2.720 Å, I 645
2.708 Å, I 581
2.109 Å, I 510
3.096 Å, I 367
2.671 Å, I 327
3.357 Å, I 291
2.738 Å, I 287
1.681 Å, I 239
3.183 Å, I 216
4.352 Å, I 201

Structural model:
```
AcY7Er4
1.0
6.1382 -3.0239 0.0000
6.1382 3.0239 0.0000
-5.9425 0.0000 11.0510
Ac Y Er
1 7 4
direct
0.0000 0.0000 0.0000
0.0449 0.0449 0.3563
0.2153 0.2153 0.9178
0.3603 0.3603 0.4849
0.5000 0.5000 0.0000
0.6397 0.6397 0.5151
0.7847 0.7847 0.0822
0.9551 0.9551 0.6437
0.2687 0.2687 0.6894
0.3780 0.3780 0.2250
0.6220 0.6220 0.7750
0.7313 0.7313 0.3106
```

***

The following is a simulated PXRD pattern of UBeH4. It was derived from the GGA-PBE geometry in Alexandria, using Cu Kα X-rays.
Peak positions follow from Bragg's law for the DFT cell and can differ from measured ones.

Peak list (12 most intense, 2θ = 5–70°, in order of falling intensity)
3.310 Å, I 1000
2.840 Å, I 760
3.518 Å, I 597
2.986 Å, I 389
2.800 Å, I 372
1.773 Å, I 361
2.131 Å, I 341
1.880 Å, I 244
1.699 Å, I 160
1.655 Å, I 157
2.052 Å, I 151
1.691 Å, I 150

Structural model:
```
UBeH4
1.0
3.7462 -2.0519 0.0000
3.7462 2.0519 0.0000
-2.1846 0.0000 5.9730
U Be H
2 2 8
direct
0.2337 0.7663 0.7500
0.7663 0.2337 0.2500
0.0000 0.5000 0.0000
0.5000 0.0000 0.5000
0.1541 0.2617 0.6137
0.2498 0.6793 0.0851
0.2617 0.1541 0.1137
0.3207 0.7502 0.4149
0.6793 0.2498 0.5851
0.7383 0.8459 0.8863
0.7502 0.3207 0.9149
0.8459 0.7383 0.3863
```

***

The following is a simulated PXRD pattern of AcSmC3N6. It was derived from the GGA-PBE geometry in Alexandria, using Cu Kα X-rays.
Peak positions follow from Bragg's law for the DFT cell and can differ from measured ones.

Peak list (12 most intense, 2θ = 5–70°, in order of falling intensity)
2.862 Å, I 1000
5.577 Å, I 684
4.716 Å, I 659
3.457 Å, I 606
5.102 Å, I 430
2.053 Å, I 328
1.821 Å, I 263
2.726 Å, I 243
1.859 Å, I 242
2.170 Å, I 216
1.996 Å, I 195
1.461 Å, I 183

Structural model:
```
AcSmC3N6
1.0
3.4574 1.9961 5.1025
-3.4574 1.9961 5.1025
0.0000 -3.9923 5.1025
Ac Sm C N
1 1 3 6
direct
0.0000 0.0000 0.0000
0.3590 0.3590 0.3590
0.2226 0.4386 0.8915
0.4386 0.8915 0.2226
0.8915 0.2226 0.4386
0.0087 0.2068 0.5556
0.2068 0.5556 0.0087
0.2366 0.3187 0.7784
0.3187 0.7784 0.2366
0.5556 0.0087 0.2068
0.7784 0.2366 0.3187
```

***

The following is a simulated PXRD pattern of Tm2AlFe5Si2. It was derived from the GGA-PBE geometry in Alexandria, using Cu Kα X-rays.
Peak positions follow from Bragg's law for the DFT cell and can differ from measured ones.

Peak list (12 most intense, 2θ = 5–70°, in order of falling intensity)
2.185 Å, I 1000
2.557 Å, I 989
2.279 Å, I 980
4.202 Å, I 493
2.215 Å, I 468
2.658 Å, I 329
1.611 Å, I 319
2.026 Å, I 269
2.313 Å, I 259
4.698 Å, I 258
6.644 Å, I 216
1.898 Å, I 185

Structural model:
```
Tm2AlFe5Si2
1.0
9.3966 0.0000 0.0000
0.0000 9.3966 0.0000
0.0000 0.0000 3.2227
Tm Al Fe Si
4 2 10 4
direct
0.1740 0.3260 0.0000
0.3260 0.8260 0.0000
0.6740 0.1740 0.0000
0.8260 0.6740 0.0000
0.0000 0.0000 0.0000
0.5000 0.5000 0.0000
0.0000 0.5000 0.5000
0.0648 0.7917 0.5000
0.2083 0.0648 0.5000
0.2917 0.5648 0.5000
0.4352 0.2917 0.5000
0.5000 0.0000 0.5000
0.5648 0.7083 0.5000
0.7083 0.4352 0.5000
0.7917 0.9352 0.5000
0.9352 0.2083 0.5000
0.1235 0.6235 0.0000
0.3765 0.1235 0.0000
0.6235 0.8765 0.0000
0.8765 0.3765 0.0000
```